No. 1
This entry pairs a crystal structure of NdTh4Sn4 with its theoretical X-ray powder pattern. Radiation: Cu Kα (weighted mean of Kα1 and Kα2). Structure: DFT lattice parameters and positions (PBE).
Intensities are scaled so that the largest is 100.

Cell and atoms:
```
data_NdTh4Sn4
_cell_length_a 9.959
_cell_length_b 9.959
_cell_length_c 6.342
_cell_angle_alpha 90.00
_cell_angle_beta 90.00
_cell_angle_gamma 90.00
_symmetry_space_group_name_H-M 'I 4/m'
_symmetry_Int_Tables_number 87
_symmetry_space_group_name_Hall '-I 4'
loop_
_atom_site_label
_atom_site_type_symbol
_atom_site_fract_x
_atom_site_fract_y
_atom_site_fract_z
Nd1 Nd 0.000 0.000 0.000
Th1 Th 0.101 0.707 0.500
Sn1 Sn 0.095 0.698 0.000
```

Peak list (10 most intense, 10 to 90 degrees two-theta, sorted by position)
h k l, 2θ/deg, I/Imax
1 2 1, 24.42, 37
0 0 2, 28.14, 50
3 1 0, 28.34, 100
3 1 2, 40.36, 79
2 4 0, 40.51, 38
2 4 2, 50.05, 42
3 1 4, 65.96, 19
6 2 2, 66.27, 18
5 5 0, 66.38, 18
5 5 2, 73.59, 27

No. 2
This entry pairs a crystal structure of Nd2ThZn2Sn2 with its theoretical X-ray powder pattern. Radiation: Cu Kα (weighted mean of Kα1 and Kα2). Structure: DFT lattice parameters and positions (PBE).
Intensities are scaled so that the largest is 100.

Cell and atoms:
```
data_Nd2ThZn2Sn2
_cell_length_a 4.4382
_cell_length_b 4.4382
_cell_length_c 34.4360
_cell_angle_alpha 90.00
_cell_angle_beta 90.00
_cell_angle_gamma 120.00
_symmetry_space_group_name_H-M 'R -3 m'
_symmetry_Int_Tables_number 166
_symmetry_space_group_name_Hall '-R 3 2"'
loop_
_atom_site_label
_atom_site_type_symbol
_atom_site_fract_x
_atom_site_fract_y
_atom_site_fract_z
Nd1 Nd 0.0000 0.0000 0.1261
Th1 Th 0.0000 0.0000 0.0000
Zn1 Zn 0.0000 0.0000 0.3846
Sn1 Sn 0.0000 0.0000 0.2636
```

Peak list (10 most intense, 10 to 90 degrees two-theta, sorted by position)
h k l, 2θ/deg, I/Imax
1 0 1, 23.28, 28
1 0 7, 29.49, 46
0 1 8, 31.20, 100
0 0 15, 39.24, 13
1 1 0, 40.66, 58
1 0 16, 48.48, 18
2 0 8, 52.12, 24
1 1 15, 57.79, 25
1 2 8, 68.12, 21
2 1 16, 79.60, 12

No. 3
This entry pairs a crystal structure of Nd5Tl4Sn with its theoretical X-ray powder pattern. Radiation: Cu Kα (weighted mean of Kα1 and Kα2). Structure: DFT lattice parameters and positions (PBE).
Intensities are scaled so that the largest is 100.

Cell and atoms:
```
data_Nd5Tl4Sn
_cell_length_a 3.748
_cell_length_b 3.748
_cell_length_c 21.063
_cell_angle_alpha 90.00
_cell_angle_beta 90.00
_cell_angle_gamma 90.00
_symmetry_space_group_name_H-M 'P 4/m m m'
_symmetry_Int_Tables_number 123
_symmetry_space_group_name_Hall '-P 4 2'
loop_
_atom_site_label
_atom_site_type_symbol
_atom_site_fract_x
_atom_site_fract_y
_atom_site_fract_z
Nd1 Nd 0.000 0.000 0.000
Nd2 Nd 0.000 0.000 0.200
Nd3 Nd 0.000 0.000 0.402
Tl1 Tl 0.500 0.500 0.100
Tl2 Tl 0.500 0.500 0.299
Sn1 Sn 0.500 0.500 0.500
```

Peak list (10 most intense, 10 to 90 degrees two-theta, sorted by position)
h k l, 2θ/deg, I/Imax
1 0 5, 31.96, 100
1 1 0, 33.82, 43
0 0 10, 42.94, 11
2 0 0, 48.58, 16
1 1 10, 55.75, 21
2 1 5, 59.34, 35
2 0 10, 66.82, 12
1 0 15, 71.79, 10
3 0 5, 80.13, 7
3 1 0, 81.15, 7